[1]
Structure and simulated powder diffraction line list of SnSCl2F (a cell relaxed with GGA-PBE; Cu Kα (weighted mean of Kα1 and Kα2)).
Peak positions follow from Bragg's law for the DFT cell and can differ from measured ones.

Main lines, low angle first (2θ from 15° to 90°):
d 5.132, intensity 56; d 5.056, intensity 100; d 3.602, intensity 55; d 2.566, intensity 30; d 2.528, intensity 57; d 2.288, intensity 26; d 2.268, intensity 27; d 2.261, intensity 25; d 2.069, intensity 25; d 1.801, intensity 39

Atomic structure:
Unit cell a=5.056 b=5.056 c=5.132 alpha=90.00 beta=90.00 gamma=90.00
Element x y z (fractional)
Sn (0.000, 0.000, 0.000)
S (0.000, 0.000, 0.500)
Cl (0.000, 0.500, 0.000)
Cl (0.500, 0.000, 0.000)
F (0.500, 0.500, 0.500)

***

[2]
Structure and simulated powder diffraction line list of US2Cl2F2 (a cell relaxed with GGA-PBE; Cu Kα (weighted mean of Kα1 and Kα2)).
Peak positions follow from Bragg's law for the DFT cell and can differ from measured ones.

Main lines, low angle first (2θ from 15° to 90°):
d 5.531, intensity 100; d 5.390, intensity 53; d 4.270, intensity 78; d 3.818, intensity 25; d 3.376, intensity 25; d 3.285, intensity 39; d 2.732, intensity 53; d 2.572, intensity 25; d 2.343, intensity 42; d 1.996, intensity 33

Atomic structure:
Unit cell a=6.503 b=6.503 c=6.840 alpha=112.79 beta=112.79 gamma=41.70
Element x y z (fractional)
U (0.000, 0.000, 0.000)
S (0.070, 0.070, 0.638)
S (0.930, 0.930, 0.362)
Cl (0.419, 0.419, 0.755)
Cl (0.581, 0.581, 0.245)
F (0.182, 0.182, 0.093)
F (0.818, 0.818, 0.907)

***

[3]
Structure and simulated powder diffraction line list of SbClF8 (a cell relaxed with GGA-PBE; Cu Kα (weighted mean of Kα1 and Kα2)).
Peak positions follow from Bragg's law for the DFT cell and can differ from measured ones.

Main lines, low angle first (2θ from 15° to 90°):
d 5.718, intensity 34; d 5.472, intensity 28; d 5.291, intensity 32; d 4.058, intensity 53; d 3.896, intensity 33; d 3.867, intensity 100; d 3.739, intensity 30; d 2.521, intensity 13; d 2.335, intensity 9; d 2.197, intensity 12

Atomic structure:
Unit cell a=5.483 b=5.725 c=10.588 alpha=90.28 beta=91.99 gamma=92.91
Element x y z (fractional)
Sb (0.000, 0.000, 0.000)
Sb (0.000, 0.000, 0.500)
Cl (0.386, 0.370, 0.244)
Cl (0.614, 0.630, 0.756)
F (0.101, 0.196, 0.356)
F (0.133, 0.734, 0.425)
F (0.154, 0.823, 0.128)
F (0.157, 0.292, 0.072)
F (0.271, 0.966, 0.895)
F (0.302, 0.072, 0.588)
F (0.425, 0.496, 0.848)
F (0.454, 0.574, 0.627)
F (0.546, 0.426, 0.373)
F (0.575, 0.504, 0.152)
F (0.698, 0.928, 0.412)
F (0.729, 0.034, 0.105)
F (0.843, 0.708, 0.928)
F (0.846, 0.177, 0.872)
F (0.867, 0.266, 0.575)
F (0.899, 0.804, 0.644)